[1]
# InHgF
Theoretical powder XRD pattern, Cu Kα X-rays. Input: a crystal structure in Alexandria, relaxed with GGA-PBE.
Kinematic intensities with the Lorentz-polarization factor, no thermal factor.

Peak list (8 most intense, 10 to 90 degrees two-theta, sorted by position)
(hkl), 2θ (°), I_rel
1 1 0, 23.93, 37.0
2 -1 3, 29.40, 100.0
2 0 2, 29.96, 9.5
0 1 5, 31.52, 15.2
0 0 6, 34.03, 10.0
3 0 0, 42.07, 31.2
2 2 3, 52.16, 14.3
5 -4 3, 69.17, 11.4

Structure:
```
data_InHgF
_chemical_formula_sum 'In9 Hg9 F9'
_symmetry_space_group_name_H-M 'R 3'
_symmetry_Int_Tables_number 146
_symmetry_space_group_name_Hall 'R 3'
_cell_length_a 7.4375
_cell_length_b 7.4375
_cell_length_c 15.8082
_cell_angle_alpha 90.00
_cell_angle_beta 90.00
_cell_angle_gamma 120.00
loop_
_atom_site_label
_atom_site_type_symbol
_atom_site_fract_x
_atom_site_fract_y
_atom_site_fract_z
_atom_site_occupancy
In1 In 0.0185 0.4028 0.0000 1
Hg1 Hg 0.0000 0.0000 0.1617 1
Hg2 Hg 0.0000 0.0000 0.5006 1
Hg3 Hg 0.0000 0.0000 0.8897 1
F1 F 0.0530 0.7934 0.7059 1
```

=====

[2]
# Sr2CaPbO5
Theoretical powder XRD pattern, Cu Kα X-rays. Input: a crystal structure in Alexandria, relaxed with GGA-PBE.
Kinematic intensities with the Lorentz-polarization factor, no thermal factor.

Peak list (8 most intense, 10 to 90 degrees two-theta, sorted by position)
(hkl), 2θ (°), I_rel
0 2 0, 11.24, 86.9
0 2 2, 21.08, 54.0
1 1 1, 27.27, 65.7
0 4 2, 28.89, 100.0
1 3 1, 31.73, 45.7
1 1 3, 37.50, 83.0
2 0 0, 51.49, 48.1
1 3 5, 55.69, 44.3

Structure:
```
data_Sr2CaPbO5
_chemical_formula_sum 'Sr8 Ca4 Pb4 O20'
_symmetry_space_group_name_H-M 'C m c m'
_symmetry_Int_Tables_number 63
_symmetry_space_group_name_Hall '-C 2c 2'
_cell_length_a 3.548
_cell_length_b 15.747
_cell_length_c 9.977
_cell_angle_alpha 90.00
_cell_angle_beta 90.00
_cell_angle_gamma 90.00
loop_
_atom_site_label
_atom_site_type_symbol
_atom_site_fract_x
_atom_site_fract_y
_atom_site_fract_z
_atom_site_occupancy
Sr1 Sr 0.000 0.120 0.026 1
Ca1 Ca 0.000 0.484 0.250 1
Pb1 Pb 0.000 0.233 0.750 1
O1 O 0.000 0.095 0.750 1
O2 O 0.000 0.277 0.105 1
O3 O 0.000 0.371 0.750 1
O4 O 0.000 0.500 0.000 1
```

=====

[3]
# La5Pr2SmSc
Theoretical powder XRD pattern, Cu Kα X-rays. Input: a crystal structure in Alexandria, relaxed with GGA-PBE.
Kinematic intensities with the Lorentz-polarization factor, no thermal factor.

Peak list (8 most intense, 10 to 90 degrees two-theta, sorted by position)
(hkl), 2θ (°), I_rel
2 1 1, 25.36, 28.5
2 0 2, 29.09, 100.0
2 2 0, 29.50, 49.8
2 1 2, 30.95, 41.6
3 1 0, 33.07, 23.0
3 1 2, 39.05, 16.0
4 0 1, 43.53, 18.0
4 2 2, 52.07, 26.5

Structure:
```
data_La5Pr2SmSc
_chemical_formula_sum 'La10 Pr4 Sm2 Sc2'
_symmetry_space_group_name_H-M 'P 4/m b m'
_symmetry_Int_Tables_number 127
_symmetry_space_group_name_Hall '-P 4 2ab'
_cell_length_a 8.566
_cell_length_b 8.566
_cell_length_c 8.803
_cell_angle_alpha 90.00
_cell_angle_beta 90.00
_cell_angle_gamma 90.00
loop_
_atom_site_label
_atom_site_type_symbol
_atom_site_fract_x
_atom_site_fract_y
_atom_site_fract_z
_atom_site_occupancy
La1 La 0.000 0.000 0.000 1
La2 La 0.218 0.282 0.287 1
Pr1 Pr 0.125 0.625 0.000 1
Sm1 Sm 0.000 0.000 0.500 1
Sc1 Sc 0.000 0.500 0.500 1
```